Starting from a structure optimized by DFT (PBE), the PXRD pattern of AcGaAu11 was computed for Cu Kα (weighted mean of Kα1 and Kα2).
Lines closer than 0.1° are merged.

Largest 8 diffraction maxima, most intense first, 15° ≤ 2θ ≤ 90°:
- hkl 0 4 2, 2θ 37.30, intensity 100
- hkl 1 5 0, 2θ 37.66, intensity 79
- hkl 1 1 2, 2θ 35.20, intensity 57
- hkl 2 2 -2, 2θ 38.60, intensity 57
- hkl 1 1 -3, 2θ 38.19, intensity 47
- hkl 2 2 0, 2θ 36.26, intensity 47
- hkl 2 4 -1, 2θ 42.40, intensity 41
- hkl 2 0 1, 2θ 39.47, intensity 41

Structure:
Cell: 5.5675 13.3553 7.2736 Å, 90.00 106.62 90.00°
Space group C2/m (No. 12)
One atom of each set of equivalent atoms:
1 Ac 0.0000 0.0000 0.0000
2 Ga 0.0000 0.5000 0.5000
3 Au 0.0000 0.0000 0.5000
4 Au 0.0744 0.3934 0.2228
5 Au 0.1357 0.1790 0.3484
6 Au 0.2500 0.2500 0.0000